# YTlAs2O6
Theoretical powder diffractogram, copper Kα. Input: a DFT-relaxed cell (GGA-PBE, Alexandria).

The 12 most intense peaks (5 to 70 degrees two-theta), in order of rising 2θ:
Position (°2θ), I (rel.)
14.27, 9
20.04, 12
26.07, 100
30.75, 50
34.05, 14
40.74, 22
42.61, 10
42.81, 21
51.89, 27
53.63, 11
54.67, 14
63.10, 12

Cell and atoms:
Cell: 7.0550 7.0550 7.0550 Å, 48.69 48.69 48.69°
Fractional positions:
Y (0.0000, 0.0000, 0.0000)
Tl (0.5000, 0.5000, 0.5000)
As (0.2357, 0.2357, 0.2357)
As (0.7643, 0.7643, 0.7643)
O (0.0154, 0.2033, 0.5734)
O (0.2033, 0.5734, 0.0154)
O (0.4266, 0.9846, 0.7967)
O (0.5734, 0.0154, 0.2033)
O (0.7967, 0.4266, 0.9846)
O (0.9846, 0.7967, 0.4266)


# Y2Si4Tc3
Theoretical powder diffractogram, copper Kα. Input: a DFT-relaxed cell (GGA-PBE, Alexandria).

The 12 most intense peaks (5 to 70 degrees two-theta), in order of rising 2θ:
Position (°2θ), I (rel.)
26.44, 24
29.78, 78
34.85, 32
35.10, 22
37.74, 100
38.06, 82
38.77, 28
42.10, 63
42.36, 43
42.61, 24
61.04, 20
65.52, 31

Cell and atoms:
Cell: 6.7807 6.7927 6.7886 Å, 90.00 110.17 90.00°
Fractional positions:
Y (0.1914, 0.1679, 0.0582)
Y (0.1914, 0.3321, 0.5582)
Y (0.8086, 0.6679, 0.4418)
Y (0.8086, 0.8321, 0.9418)
Si (0.1033, 0.5520, 0.8781)
Si (0.1033, 0.9480, 0.3781)
Si (0.4864, 0.6415, 0.6312)
Si (0.4864, 0.8585, 0.1312)
Si (0.5136, 0.1415, 0.8688)
Si (0.5136, 0.3585, 0.3688)
Si (0.8967, 0.0520, 0.6219)
Si (0.8967, 0.4480, 0.1219)
Tc (0.2402, 0.6498, 0.2574)
Tc (0.2402, 0.8502, 0.7574)
Tc (0.5000, 0.0000, 0.5000)
Tc (0.5000, 0.5000, 0.0000)
Tc (0.7598, 0.1498, 0.2426)
Tc (0.7598, 0.3502, 0.7426)


# La6Ti2S8O5
Theoretical powder diffractogram, copper Kα. Input: a DFT-relaxed cell (GGA-PBE, Alexandria).

The 12 most intense peaks (5 to 70 degrees two-theta), in order of rising 2θ:
Position (°2θ), I (rel.)
21.01, 42
21.72, 81
22.42, 27
24.88, 39
27.56, 59
30.05, 39
30.69, 100
32.29, 29
36.18, 32
42.41, 28
44.83, 33
45.10, 53

Cell and atoms:
Cell: 12.7886 4.0205 16.4940 Å, 90.00 97.17 90.00°
Fractional positions:
La (0.0000, 0.2500, 0.1199)
La (0.0000, 0.7500, 0.8801)
La (0.0674, 0.2500, 0.3831)
La (0.2699, 0.7500, 0.6020)
La (0.3180, 0.7500, 0.1485)
La (0.3859, 0.7500, 0.8985)
La (0.3953, 0.2500, 0.3734)
La (0.6047, 0.7500, 0.6266)
La (0.6141, 0.2500, 0.1015)
La (0.6820, 0.2500, 0.8515)
La (0.7301, 0.2500, 0.3980)
La (0.9326, 0.7500, 0.6169)
Ti (0.1544, 0.2500, 0.7318)
Ti (0.4417, 0.2500, 0.7262)
Ti (0.5583, 0.7500, 0.2738)
Ti (0.8456, 0.7500, 0.2682)
S (0.0291, 0.7500, 0.2550)
S (0.0867, 0.2500, 0.5675)
S (0.1117, 0.7500, 0.0464)
S (0.1961, 0.2500, 0.8729)
S (0.2245, 0.2500, 0.2307)
S (0.2353, 0.7500, 0.4236)
S (0.3915, 0.2500, 0.0350)
S (0.4314, 0.2500, 0.5612)
S (0.5686, 0.7500, 0.4388)
S (0.6085, 0.7500, 0.9650)
S (0.7647, 0.2500, 0.5764)
S (0.7755, 0.7500, 0.7693)
S (0.8039, 0.7500, 0.1271)
S (0.8883, 0.2500, 0.9536)
S (0.9133, 0.7500, 0.4325)
S (0.9709, 0.2500, 0.7450)
O (0.1511, 0.7500, 0.7164)
O (0.2879, 0.2500, 0.6910)
O (0.4149, 0.7500, 0.2864)
O (0.4335, 0.7500, 0.7172)
O (0.4525, 0.2500, 0.8394)
O (0.5475, 0.7500, 0.1606)
O (0.5665, 0.2500, 0.2828)
O (0.5851, 0.2500, 0.7136)
O (0.7121, 0.7500, 0.3090)
O (0.8489, 0.2500, 0.2836)


# ScZn2Pb
Theoretical powder diffractogram, copper Kα. Input: a DFT-relaxed cell (GGA-PBE, Alexandria).

The 12 most intense peaks (5 to 70 degrees two-theta), in order of rising 2θ:
Position (°2θ), I (rel.)
19.58, 8
23.13, 48
29.75, 6
35.87, 100
36.49, 16
39.77, 19
42.57, 31
49.00, 14
57.29, 9
59.67, 22
61.78, 10
69.66, 14

Cell and atoms:
Cell: 5.4376 5.4376 5.4376 Å, 134.02 134.02 67.05°
Fractional positions:
Sc (0.0000, 0.0000, 0.0000)
Zn (0.2500, 0.7500, 0.5000)
Zn (0.7500, 0.2500, 0.5000)
Pb (0.5000, 0.5000, 0.0000)


# Nb3VRe2
Theoretical powder diffractogram, copper Kα. Input: a DFT-relaxed cell (GGA-PBE, Alexandria).

The 12 most intense peaks (5 to 70 degrees two-theta), in order of rising 2θ:
Position (°2θ), I (rel.)
13.08, 2
13.84, 7
19.08, 2
20.73, 2
25.01, 2
27.92, 4
31.31, 5
39.90, 100
42.44, 3
57.62, 6
57.75, 11
59.66, 2

Cell and atoms:
Cell: 7.1375 7.1375 6.3992 Å, 90.00 90.00 143.10°
Fractional positions:
Nb (0.0000, 0.0000, 0.2489)
Nb (0.0000, 0.0000, 0.7511)
Nb (0.3332, 0.6668, 0.2487)
Nb (0.3332, 0.6668, 0.7513)
Nb (0.6668, 0.3332, 0.2487)
Nb (0.6668, 0.3332, 0.7513)
V (0.1684, 0.8316, 0.0000)
V (0.8316, 0.1684, 0.0000)
Re (0.1662, 0.8338, 0.5000)
Re (0.5000, 0.5000, 0.0000)
Re (0.5000, 0.5000, 0.5000)
Re (0.8338, 0.1662, 0.5000)


# Ni7Sn2GeSb2
Theoretical powder diffractogram, copper Kα. Input: a DFT-relaxed cell (GGA-PBE, Alexandria).

The 12 most intense peaks (5 to 70 degrees two-theta), in order of rising 2θ:
Position (°2θ), I (rel.)
28.02, 61
29.51, 33
33.59, 31
34.10, 39
34.67, 56
35.72, 32
37.66, 34
42.65, 31
44.75, 38
45.33, 59
46.89, 75
49.42, 100

Cell and atoms:
Cell: 3.6957 3.6957 14.4074 Å, 94.13 94.13 90.71°
Fractional positions:
Ni (0.0000, 0.0000, 0.0000)
Ni (0.0337, 0.5342, 0.1165)
Ni (0.1345, 0.1345, 0.4228)
Ni (0.4658, 0.9663, 0.8835)
Ni (0.5342, 0.0337, 0.1165)
Ni (0.8655, 0.8655, 0.5772)
Ni (0.9663, 0.4658, 0.8835)
Sn (0.0706, 0.0706, 0.2426)
Sn (0.9294, 0.9294, 0.7574)
Ge (0.5000, 0.5000, 0.0000)
Sb (0.3626, 0.3626, 0.5928)
Sb (0.6374, 0.6374, 0.4072)


# Cd4Hg8Pb
Theoretical powder diffractogram, copper Kα. Input: a DFT-relaxed cell (GGA-PBE, Alexandria).

The 12 most intense peaks (5 to 70 degrees two-theta), in order of rising 2θ:
Position (°2θ), I (rel.)
26.44, 21
31.42, 73
31.88, 82
32.14, 26
33.12, 39
33.24, 100
34.60, 91
38.17, 48
38.48, 48
43.02, 25
56.58, 26
68.04, 30

Cell and atoms:
Cell: 8.5990 8.5990 14.5236 Å, 120.57 120.57 21.81°
Fractional positions:
Cd (0.0000, 0.0000, 0.0000)
Cd (0.0116, 0.0116, 0.5056)
Cd (0.3649, 0.3649, 0.7873)
Cd (0.5806, 0.5806, 0.3852)
Hg (0.2603, 0.2603, 0.5314)
Hg (0.3293, 0.3293, 0.3664)
Hg (0.5892, 0.5892, 0.8730)
Hg (0.6261, 0.6261, 0.2158)
Hg (0.6727, 0.6727, 0.6888)
Hg (0.7954, 0.7954, 0.9372)
Hg (0.9307, 0.9307, 0.1849)
Hg (0.9521, 0.9521, 0.6623)
Pb (0.2310, 0.2310, 0.1086)


# CaCuH6Pt2
Theoretical powder diffractogram, copper Kα. Input: a DFT-relaxed cell (GGA-PBE, Alexandria).

The 12 most intense peaks (5 to 70 degrees two-theta), in order of rising 2θ:
Position (°2θ), I (rel.)
16.99, 92
25.12, 64
32.09, 68
36.53, 59
39.26, 100
43.05, 56
46.59, 41
51.57, 18
54.70, 18
62.51, 18
63.89, 18
69.37, 19

Cell and atoms:
Cell: 5.8540 5.8540 5.8540 Å, 46.16 46.16 46.16°
Fractional positions:
Ca (0.0000, 0.0000, 0.0000)
Cu (0.5000, 0.5000, 0.5000)
H (0.0939, 0.5593, 0.5593)
H (0.4407, 0.4407, 0.9061)
H (0.4407, 0.9061, 0.4407)
H (0.5593, 0.0939, 0.5593)
H (0.5593, 0.5593, 0.0939)
H (0.9061, 0.4407, 0.4407)
Pt (0.2091, 0.2091, 0.2091)
Pt (0.7909, 0.7909, 0.7909)